No. 1
Simulated XRD peak list
Compound: CsTmPdSe3
Radiation: Cu Kα (weighted mean of Kα1 and Kα2)
Structure: a structure optimized by DFT (GGA-PBE)
Neutral-atom scattering factors, no anomalous dispersion.

Principal peaks in the range 5 to 70 degrees two-theta, sorted by position:
d = 8.297 Å, intensity 100.0
d = 4.359 Å, intensity 26.1
d = 4.148 Å, intensity 21.5
d = 3.135 Å, intensity 89.3
d = 2.770 Å, intensity 67.2
d = 2.561 Å, intensity 31.2
d = 2.303 Å, intensity 67.7
d = 2.179 Å, intensity 21.9
d = 2.049 Å, intensity 28.1
d = 1.740 Å, intensity 21.5

Atomic structure:
a = 8.546 Å, b = 8.546 Å, c = 10.246 Å
α = 90.00°, β = 90.00°, γ = 152.26°
Element x y z (fractional)
Cs1 0.249 0.751 0.750
Cs2 0.751 0.249 0.250
Tm1 0.000 0.000 0.000
Tm2 0.000 0.000 0.500
Pd1 0.484 0.516 0.250
Pd2 0.516 0.484 0.750
Se1 0.075 0.925 0.250
Se2 0.387 0.613 0.061
Se3 0.387 0.613 0.439
Se4 0.613 0.387 0.561
Se5 0.613 0.387 0.939
Se6 0.925 0.075 0.750

No. 2
Simulated XRD peak list
Compound: Cd2Si2AsP3
Radiation: Cu Kα (weighted mean of Kα1 and Kα2)
Structure: a structure optimized by DFT (GGA-PBE)
Neutral-atom scattering factors, no anomalous dispersion.

Principal peaks in the range 5 to 70 degrees two-theta, sorted by position:
d = 5.111 Å, intensity 23.8
d = 5.068 Å, intensity 26.5
d = 3.253 Å, intensity 84.8
d = 3.231 Å, intensity 100.0
d = 3.023 Å, intensity 21.1
d = 2.507 Å, intensity 28.5
d = 2.042 Å, intensity 40.6
d = 1.970 Å, intensity 19.5
d = 1.956 Å, intensity 37.0
d = 1.726 Å, intensity 28.0

Atomic structure:
a = 6.691 Å, b = 6.691 Å, c = 5.793 Å
α = 115.16°, β = 115.16°, γ = 51.00°
Element x y z (fractional)
Cd1 0.128 0.128 0.371
Cd2 0.872 0.872 0.629
Si1 0.386 0.358 0.115
Si2 0.642 0.614 0.885
As1 0.300 0.700 0.500
P1 0.009 0.491 0.796
P2 0.509 0.991 0.204
P3 0.714 0.286 0.000

No. 3
Simulated XRD peak list
Compound: RbZrPdSe2S
Radiation: Cu Kα (weighted mean of Kα1 and Kα2)
Structure: a structure optimized by DFT (GGA-PBE)
Neutral-atom scattering factors, no anomalous dispersion.

Principal peaks in the range 5 to 70 degrees two-theta, sorted by position:
d = 7.817 Å, intensity 100.0
d = 3.039 Å, intensity 15.3
d = 2.943 Å, intensity 44.3
d = 2.838 Å, intensity 50.2
d = 2.523 Å, intensity 37.0
d = 2.400 Å, intensity 21.5
d = 2.366 Å, intensity 17.9
d = 2.069 Å, intensity 20.2
d = 1.956 Å, intensity 31.7
d = 1.708 Å, intensity 16.6

Atomic structure:
a = 8.954 Å, b = 3.913 Å, c = 9.900 Å
α = 90.00°, β = 112.96°, γ = 90.00°
Element x y z (fractional)
Rb1 0.238 0.250 0.272
Rb2 0.762 0.750 0.728
Zr1 0.308 0.750 0.830
Zr2 0.692 0.250 0.170
Pd1 0.099 0.250 0.588
Pd2 0.901 0.750 0.412
Se1 0.113 0.250 0.858
Se2 0.462 0.750 0.140
Se3 0.538 0.250 0.860
Se4 0.887 0.750 0.142
S1 0.237 0.750 0.557
S2 0.763 0.250 0.443

No. 4
Simulated XRD peak list
Compound: Ba3TcO6
Radiation: Cu Kα (weighted mean of Kα1 and Kα2)
Structure: a structure optimized by DFT (GGA-PBE)
Neutral-atom scattering factors, no anomalous dispersion.

Principal peaks in the range 5 to 70 degrees two-theta, sorted by position:
d = 3.172 Å, intensity 100.0
d = 3.161 Å, intensity 45.0
d = 3.051 Å, intensity 45.0
d = 3.032 Å, intensity 93.3
d = 2.195 Å, intensity 50.7
d = 2.188 Å, intensity 21.3
d = 1.857 Å, intensity 34.0
d = 1.778 Å, intensity 21.0
d = 1.772 Å, intensity 22.0
d = 1.758 Å, intensity 20.2

Atomic structure:
a = 6.064 Å, b = 6.064 Å, c = 6.335 Å
α = 118.38°, β = 118.38°, γ = 60.42°
Element x y z (fractional)
Ba1 0.000 0.000 0.000
Ba2 0.242 0.242 0.726
Ba3 0.758 0.758 0.274
Tc1 0.500 0.500 0.500
O1 0.217 0.667 0.651
O2 0.295 0.295 0.201
O3 0.333 0.783 0.349
O4 0.667 0.217 0.651
O5 0.705 0.705 0.799
O6 0.783 0.333 0.349

No. 5
Simulated XRD peak list
Compound: Mg3Ir
Radiation: Cu Kα (weighted mean of Kα1 and Kα2)
Structure: a structure optimized by DFT (GGA-PBE)
Neutral-atom scattering factors, no anomalous dispersion.

Principal peaks in the range 5 to 70 degrees two-theta, sorted by position:
d = 5.092 Å, intensity 49.7
d = 3.425 Å, intensity 100.0
d = 2.940 Å, intensity 47.4
d = 2.546 Å, intensity 21.2
d = 2.314 Å, intensity 21.7
d = 2.231 Å, intensity 87.2
d = 1.819 Å, intensity 24.3
d = 1.778 Å, intensity 24.1
d = 1.775 Å, intensity 12.2
d = 1.713 Å, intensity 12.9

Atomic structure:
a = 5.875 Å, b = 5.875 Å, c = 4.629 Å
α = 90.00°, β = 90.00°, γ = 119.85°
Element x y z (fractional)
Mg1 0.174 0.350 0.750
Mg2 0.174 0.826 0.750
Mg3 0.350 0.174 0.250
Mg4 0.650 0.826 0.750
Mg5 0.826 0.174 0.250
Mg6 0.826 0.650 0.250
Ir1 0.334 0.666 0.250
Ir2 0.666 0.334 0.750

No. 6
Simulated XRD peak list
Compound: Sc2AlZn2In
Radiation: Cu Kα (weighted mean of Kα1 and Kα2)
Structure: a structure optimized by DFT (GGA-PBE)
Neutral-atom scattering factors, no anomalous dispersion.

Principal peaks in the range 5 to 70 degrees two-theta, sorted by position:
d = 10.253 Å, intensity 7.0
d = 4.438 Å, intensity 2.9
d = 4.073 Å, intensity 3.4
d = 3.624 Å, intensity 42.4
d = 3.417 Å, intensity 3.4
d = 3.139 Å, intensity 8.1
d = 2.219 Å, intensity 100.0
d = 1.893 Å, intensity 20.3
d = 1.569 Å, intensity 15.8
d = 1.440 Å, intensity 7.9

Atomic structure:
a = 10.873 Å, b = 4.437 Å, c = 10.876 Å
α = 90.00°, β = 109.47°, γ = 90.00°
Element x y z (fractional)
Sc1 0.000 0.000 0.000
Sc2 0.119 0.500 0.375
Sc3 0.242 0.000 0.745
Sc4 0.375 0.500 0.131
Sc5 0.499 0.000 0.501
Sc6 0.624 0.500 0.870
Sc7 0.747 0.000 0.253
Sc8 0.870 0.500 0.623
Al1 0.248 0.000 0.251
Al2 0.623 0.500 0.377
Al3 0.747 0.000 0.748
Al4 0.995 0.000 0.499
Zn1 0.129 0.500 0.131
Zn2 0.241 0.000 0.492
Zn3 0.372 0.500 0.875
Zn4 0.498 0.000 0.257
Zn5 0.627 0.500 0.623
Zn6 0.748 0.000 0.994
Zn7 0.871 0.500 0.379
Zn8 0.990 0.000 0.743
In1 0.121 0.500 0.874
In2 0.371 0.500 0.623
In3 0.498 0.000 0.001
In4 0.872 0.500 0.125

No. 7
Simulated XRD peak list
Compound: HoErAg2Te4
Radiation: Cu Kα (weighted mean of Kα1 and Kα2)
Structure: a structure optimized by DFT (GGA-PBE)
Neutral-atom scattering factors, no anomalous dispersion.

Principal peaks in the range 5 to 70 degrees two-theta, sorted by position:
d = 3.912 Å, intensity 17.9
d = 3.423 Å, intensity 100.0
d = 3.163 Å, intensity 28.8
d = 2.825 Å, intensity 59.0
d = 2.623 Å, intensity 88.3
d = 2.501 Å, intensity 82.5
d = 2.125 Å, intensity 40.5
d = 2.107 Å, intensity 59.3
d = 2.019 Å, intensity 18.8
d = 1.768 Å, intensity 19.3

Atomic structure:
a = 7.073 Å, b = 7.073 Å, c = 4.695 Å
α = 90.00°, β = 90.00°, γ = 90.11°
Element x y z (fractional)
Ho1 0.000 0.000 0.000
Er1 0.500 0.500 0.385
Ag1 0.000 0.500 0.192
Ag2 0.500 0.000 0.192
Te1 0.202 0.798 0.485
Te2 0.299 0.299 0.900
Te3 0.701 0.701 0.900
Te4 0.798 0.202 0.485

No. 8
Simulated XRD peak list
Compound: KRb3Cd2Sn2
Radiation: Cu Kα (weighted mean of Kα1 and Kα2)
Structure: a structure optimized by DFT (GGA-PBE)
Neutral-atom scattering factors, no anomalous dispersion.

Principal peaks in the range 5 to 70 degrees two-theta, sorted by position:
d = 5.673 Å, intensity 84.6
d = 3.444 Å, intensity 45.1
d = 3.084 Å, intensity 100.0
d = 3.066 Å, intensity 95.4
d = 3.021 Å, intensity 50.0
d = 3.014 Å, intensity 51.3
d = 2.640 Å, intensity 89.3
d = 2.399 Å, intensity 41.6
d = 1.890 Å, intensity 48.1
d = 1.878 Å, intensity 48.6

Atomic structure:
a = 7.061 Å, b = 6.728 Å, c = 7.128 Å
α = 90.00°, β = 106.19°, γ = 90.00°
Element x y z (fractional)
K1 0.000 0.000 0.000
Rb1 0.351 0.500 0.030
Rb2 0.657 0.000 0.339
Rb3 0.697 0.500 0.693
Cd1 0.177 0.250 0.512
Cd2 0.177 0.750 0.512
Sn1 0.434 0.000 0.784
Sn2 0.912 0.500 0.248

Copy entry 1 word for word.
Simulated XRD peak list
Compound: CsTmPdSe3
Radiation: Cu Kα (weighted mean of Kα1 and Kα2)
Structure: a structure optimized by DFT (GGA-PBE)
Neutral-atom scattering factors, no anomalous dispersion.

Principal peaks in the range 5 to 70 degrees two-theta, sorted by position:
d = 8.297 Å, intensity 100.0
d = 4.359 Å, intensity 26.1
d = 4.148 Å, intensity 21.5
d = 3.135 Å, intensity 89.3
d = 2.770 Å, intensity 67.2
d = 2.561 Å, intensity 31.2
d = 2.303 Å, intensity 67.7
d = 2.179 Å, intensity 21.9
d = 2.049 Å, intensity 28.1
d = 1.740 Å, intensity 21.5

Atomic structure:
a = 8.546 Å, b = 8.546 Å, c = 10.246 Å
α = 90.00°, β = 90.00°, γ = 152.26°
Element x y z (fractional)
Cs1 0.249 0.751 0.750
Cs2 0.751 0.249 0.250
Tm1 0.000 0.000 0.000
Tm2 0.000 0.000 0.500
Pd1 0.484 0.516 0.250
Pd2 0.516 0.484 0.750
Se1 0.075 0.925 0.250
Se2 0.387 0.613 0.061
Se3 0.387 0.613 0.439
Se4 0.613 0.387 0.561
Se5 0.613 0.387 0.939
Se6 0.925 0.075 0.750